For Pm8Nd4Y, a crystal structure in Alexandria, relaxed with PBE gives the computed powder diffraction line list in this record (Cu Kα (weighted mean of Kα1 and Kα2)).

```
13
Lattice="5.649 3.262 4.518 -5.649 3.262 4.518 0.000 -6.523 4.518" Properties=species:S:1:pos:R:3 pbc="T T T"
Pm 0.000 -3.379 5.542
Pm -2.926 1.689 5.542
Pm 0.000 0.000 3.218
Pm -2.926 -1.689 8.013
Pm 2.926 1.689 5.542
Pm 0.000 0.000 10.338
Pm 2.926 -1.689 8.013
Pm 0.000 3.379 8.013
Nd 0.000 0.000 0.000
Nd -2.825 -1.631 4.518
Nd -2.825 1.631 9.037
Nd 0.000 3.262 4.518
Y 0.000 0.000 6.778
```

The 8 most intense peaks (10 to 90 degrees two-theta), by angle:
two_theta, I (rel.)
19.29, 22
22.41, 17
31.68, 100
32.13, 94
45.74, 35
56.42, 19
56.71, 36
57.57, 16